(1)
NdGa2SiIr2: theoretical powder diffraction line list (Cu Kα, 1.54184 Å), based on a structure optimized by DFT (GGA-PBE).
Neutral-atom scattering factors, no anomalous dispersion.

Structural model:
abc: 4.5617 4.5617 5.5856
angles: 90.00 90.00 90.00
Element x y z (fractional)
Nd 0.0000 0.0000 0.0000
Ga 0.5000 0.5000 0.2366
Ga 0.5000 0.5000 0.7634
Si 0.0000 0.0000 0.5000
Ir 0.0000 0.5000 0.5000
Ir 0.5000 0.0000 0.5000

Principal peaks in the range 15 to 90 degrees two-theta, low angle first:
2θ 15.87, 5.586 Å, intensity 29; 2θ 32.04, 2.793 Å, intensity 100; 2θ 37.77, 2.382 Å, intensity 22; 2θ 39.51, 2.281 Å, intensity 47; 2θ 42.83, 2.111 Å, intensity 28; 2θ 51.75, 1.767 Å, intensity 15; 2θ 55.81, 1.647 Å, intensity 14; 2θ 57.11, 1.613 Å, intensity 30; 2θ 67.01, 1.397 Å, intensity 33; 2θ 85.07, 1.140 Å, intensity 14


(2)
NdYGa2Ir2: theoretical powder diffraction line list (Cu Kα, 1.54184 Å), based on a structure optimized by DFT (GGA-PBE).
Neutral-atom scattering factors, no anomalous dispersion.

Structural model:
abc: 4.4067 4.4067 7.3550
angles: 90.00 90.00 120.00
Element x y z (fractional)
Nd 0.0000 0.0000 0.0000
Y 0.0000 0.0000 0.5000
Ga 0.3333 0.6667 0.2672
Ga 0.6667 0.3333 0.7328
Ir 0.3333 0.6667 0.7351
Ir 0.6667 0.3333 0.2649

Principal peaks in the range 15 to 90 degrees two-theta, low angle first:
2θ 24.20, 3.678 Å, intensity 12; 2θ 26.31, 3.387 Å, intensity 35; 2θ 33.85, 2.648 Å, intensity 100; 2θ 40.96, 2.203 Å, intensity 70; 2θ 48.14, 1.890 Å, intensity 12; 2θ 49.58, 1.839 Å, intensity 12; 2θ 54.15, 1.694 Å, intensity 26; 2θ 66.20, 1.412 Å, intensity 30; 2θ 70.07, 1.343 Å, intensity 24; 2θ 74.61, 1.272 Å, intensity 12


(3)
Ga3Ni5Ir: theoretical powder diffraction line list (Cu Kα, 1.54184 Å), based on a structure optimized by DFT (GGA-PBE).
Neutral-atom scattering factors, no anomalous dispersion.

Structural model:
abc: 7.1278 7.1278 7.1278
angles: 122.57 122.57 85.61
Element x y z (fractional)
Ga 0.1175 0.6175 0.7351
Ga 0.2500 0.2500 0.0000
Ga 0.3825 0.1175 0.5000
Ga 0.6175 0.8825 0.5000
Ga 0.7500 0.7500 0.0000
Ga 0.8825 0.3825 0.2649
Ni 0.0000 0.0000 0.0000
Ni 0.0716 0.1688 0.5000
Ni 0.1688 0.6688 0.0972
Ni 0.3312 0.4284 0.5000
Ni 0.4284 0.9284 0.0972
Ni 0.5000 0.5000 0.0000
Ni 0.5716 0.0716 0.9028
Ni 0.6688 0.5716 0.5000
Ni 0.8312 0.3312 0.9028
Ni 0.9284 0.8312 0.5000
Ir 0.2500 0.7500 0.5000
Ir 0.7500 0.2500 0.5000

Principal peaks in the range 15 to 90 degrees two-theta, low angle first:
2θ 18.32, 4.843 Å, intensity 35; 2θ 31.22, 2.865 Å, intensity 24; 2θ 37.13, 2.422 Å, intensity 65; 2θ 39.15, 2.301 Å, intensity 44; 2θ 41.08, 2.197 Å, intensity 17; 2θ 43.55, 2.078 Å, intensity 100; 2θ 45.32, 2.001 Å, intensity 34; 2θ 56.55, 1.627 Å, intensity 18; 2θ 71.37, 1.322 Å, intensity 22; 2θ 84.15, 1.150 Å, intensity 16


(4)
GaNi6Ir: theoretical powder diffraction line list (Cu Kα, 1.54184 Å), based on a structure optimized by DFT (GGA-PBE).
Neutral-atom scattering factors, no anomalous dispersion.

Structural model:
abc: 6.2397 6.2397 10.1965
angles: 90.00 90.00 109.56
Element x y z (fractional)
Ga 0.0000 0.0000 0.2478
Ga 0.0000 0.0000 0.7522
Ga 0.2497 0.7503 0.0000
Ga 0.7503 0.2497 0.0000
Ni 0.0000 0.0000 0.0000
Ni 0.0000 0.0000 0.5000
Ni 0.1245 0.3744 0.3734
Ni 0.1245 0.3744 0.6266
Ni 0.1250 0.3751 0.1239
Ni 0.1250 0.3751 0.8761
Ni 0.2500 0.7500 0.2496
Ni 0.2500 0.7500 0.7504
Ni 0.3744 0.1245 0.3734
Ni 0.3744 0.1245 0.6266
Ni 0.3751 0.1250 0.1239
Ni 0.3751 0.1250 0.8761
Ni 0.5000 0.5000 0.0000
Ni 0.5000 0.5000 0.5000
Ni 0.6249 0.8750 0.1239
Ni 0.6249 0.8750 0.8761
Ni 0.6256 0.8755 0.3734
Ni 0.6256 0.8755 0.6266
Ni 0.7500 0.2500 0.2496
Ni 0.7500 0.2500 0.7504
Ni 0.8750 0.6249 0.1239
Ni 0.8750 0.6249 0.8761
Ni 0.8755 0.6256 0.3734
Ni 0.8755 0.6256 0.6266
Ir 0.2483 0.7517 0.5000
Ir 0.5000 0.5000 0.2490
Ir 0.5000 0.5000 0.7510
Ir 0.7517 0.2483 0.5000

Principal peaks in the range 15 to 90 degrees two-theta, low angle first:
2θ 15.07, 5.880 Å, intensity 5; 2θ 19.47, 4.560 Å, intensity 3; 2θ 23.09, 3.852 Å, intensity 4; 2θ 24.71, 3.603 Å, intensity 13; 2θ 35.23, 2.547 Å, intensity 11; 2θ 43.51, 2.080 Å, intensity 100; 2θ 50.68, 1.801 Å, intensity 47; 2θ 57.17, 1.611 Å, intensity 6; 2θ 63.22, 1.471 Å, intensity 5; 2θ 74.49, 1.274 Å, intensity 28


(5)
Ga6Ni2Ir: theoretical powder diffraction line list (Cu Kα, 1.54184 Å), based on a structure optimized by DFT (GGA-PBE).
Neutral-atom scattering factors, no anomalous dispersion.

Structural model:
abc: 6.3477 6.5898 7.4115
angles: 90.00 116.54 90.00
Element x y z (fractional)
Ga 0.0466 0.1423 0.3819
Ga 0.0466 0.3577 0.8819
Ga 0.3518 0.6703 0.4640
Ga 0.3518 0.8297 0.9640
Ga 0.4291 0.0221 0.2975
Ga 0.4291 0.4779 0.7975
Ga 0.5709 0.5221 0.2025
Ga 0.5709 0.9779 0.7025
Ga 0.6482 0.1703 0.0360
Ga 0.6482 0.3297 0.5360
Ga 0.9534 0.6423 0.1181
Ga 0.9534 0.8577 0.6181
Ni 0.2403 0.1305 0.7466
Ni 0.2403 0.3695 0.2466
Ni 0.7597 0.6305 0.7534
Ni 0.7597 0.8695 0.2534
Ir 0.0000 0.0000 0.0000
Ir 0.0000 0.5000 0.5000

Principal peaks in the range 15 to 90 degrees two-theta, low angle first:
2θ 18.99, 4.674 Å, intensity 55; 2θ 33.91, 2.643 Å, intensity 37; 2θ 36.69, 2.450 Å, intensity 58; 2θ 37.01, 2.429 Å, intensity 35; 2θ 39.54, 2.279 Å, intensity 44; 2θ 41.31, 2.185 Å, intensity 74; 2θ 43.17, 2.095 Å, intensity 60; 2θ 44.12, 2.053 Å, intensity 100; 2θ 45.69, 1.986 Å, intensity 64; 2θ 46.44, 1.955 Å, intensity 29


(6)
Ga4NiIr5: theoretical powder diffraction line list (Cu Kα, 1.54184 Å), based on a structure optimized by DFT (GGA-PBE).
Neutral-atom scattering factors, no anomalous dispersion.

Structural model:
abc: 3.0478 3.0478 15.0915
angles: 90.00 90.00 90.00
Element x y z (fractional)
Ga 0.0000 0.0000 0.1026
Ga 0.0000 0.0000 0.3086
Ga 0.0000 0.0000 0.6914
Ga 0.0000 0.0000 0.8974
Ni 0.0000 0.0000 0.5000
Ir 0.5000 0.5000 0.0000
Ir 0.5000 0.5000 0.2021
Ir 0.5000 0.5000 0.4044
Ir 0.5000 0.5000 0.5956
Ir 0.5000 0.5000 0.7979

Principal peaks in the range 15 to 90 degrees two-theta, low angle first:
2θ 29.30, 3.048 Å, intensity 27; 2θ 29.60, 3.018 Å, intensity 13; 2θ 41.92, 2.155 Å, intensity 52; 2θ 42.14, 2.145 Å, intensity 100; 2θ 52.15, 1.754 Å, intensity 12; 2θ 60.78, 1.524 Å, intensity 17; 2θ 61.44, 1.509 Å, intensity 8; 2θ 68.89, 1.363 Å, intensity 5; 2θ 76.72, 1.242 Å, intensity 34; 2θ 77.16, 1.236 Å, intensity 16


(7)
PrGa2Ni2Ir: theoretical powder diffraction line list (Cu Kα, 1.54184 Å), based on a structure optimized by DFT (GGA-PBE).
Neutral-atom scattering factors, no anomalous dispersion.

Structural model:
abc: 4.7005 4.7005 5.4278
angles: 90.00 90.00 90.00
Element x y z (fractional)
Pr 0.0000 0.0000 0.0000
Ga 0.0000 0.5000 0.5000
Ga 0.5000 0.0000 0.5000
Ni 0.5000 0.5000 0.2501
Ni 0.5000 0.5000 0.7499
Ir 0.0000 0.0000 0.5000

Principal peaks in the range 15 to 90 degrees two-theta, low angle first:
2θ 16.33, 5.428 Å, intensity 19; 2θ 18.88, 4.700 Å, intensity 29; 2θ 26.82, 3.324 Å, intensity 32; 2θ 33.01, 2.714 Å, intensity 11; 2θ 38.30, 2.350 Å, intensity 100; 2θ 43.03, 2.102 Å, intensity 8; 2θ 51.43, 1.777 Å, intensity 13; 2θ 55.28, 1.662 Å, intensity 52; 2θ 69.24, 1.357 Å, intensity 13; 2θ 82.00, 1.175 Å, intensity 26


(8)
PrGaNiIr2: theoretical powder diffraction line list (Cu Kα, 1.54184 Å), based on a structure optimized by DFT (GGA-PBE).
Neutral-atom scattering factors, no anomalous dispersion.

Structural model:
abc: 4.0871 4.2000 10.6599
angles: 90.00 90.00 90.00
Element x y z (fractional)
Pr 0.0000 0.0000 0.0000
Pr 0.5000 0.5000 0.5000
Ga 0.0000 0.5000 0.7412
Ga 0.5000 0.0000 0.2412
Ni 0.0000 0.0000 0.6158
Ni 0.5000 0.5000 0.1158
Ir 0.0000 0.0000 0.3855
Ir 0.0000 0.5000 0.2538
Ir 0.5000 0.0000 0.7538
Ir 0.5000 0.5000 0.8855

Principal peaks in the range 15 to 90 degrees two-theta, low angle first:
2θ 16.63, 5.330 Å, intensity 16; 2θ 23.31, 3.816 Å, intensity 28; 2θ 33.02, 2.713 Å, intensity 33; 2θ 33.42, 2.682 Å, intensity 26; 2θ 34.95, 2.567 Å, intensity 100; 2θ 43.07, 2.100 Å, intensity 30; 2θ 44.33, 2.044 Å, intensity 27; 2θ 46.04, 1.971 Å, intensity 30; 2θ 47.85, 1.901 Å, intensity 20; 2θ 63.52, 1.465 Å, intensity 19


(9)
Ta2Ga2Ni7Ir: theoretical powder diffraction line list (Cu Kα, 1.54184 Å), based on a structure optimized by DFT (GGA-PBE).
Neutral-atom scattering factors, no anomalous dispersion.

Structural model:
abc: 3.3741 3.3741 14.7552
angles: 96.52 96.52 90.00
Element x y z (fractional)
Ta 0.1326 0.1326 0.2672
Ta 0.8674 0.8674 0.7328
Ga 0.3102 0.3102 0.6194
Ga 0.6898 0.6898 0.3806
Ni 0.0000 0.0000 0.0000
Ni 0.0665 0.5666 0.1352
Ni 0.2256 0.2256 0.4509
Ni 0.4334 0.9335 0.8648
Ni 0.5666 0.0665 0.1352
Ni 0.7744 0.7744 0.5491
Ni 0.9335 0.4334 0.8648
Ir 0.5000 0.5000 0.0000

Principal peaks in the range 15 to 90 degrees two-theta, low angle first:
2θ 28.00, 3.187 Å, intensity 56; 2θ 30.62, 2.920 Å, intensity 48; 2θ 37.70, 2.386 Å, intensity 44; 2θ 42.20, 2.141 Å, intensity 58; 2θ 43.45, 2.083 Å, intensity 100; 2θ 45.45, 1.996 Å, intensity 70; 2θ 54.38, 1.687 Å, intensity 50; 2θ 72.03, 1.311 Å, intensity 44; 2θ 80.52, 1.193 Å, intensity 16; 2θ 83.48, 1.158 Å, intensity 18


(10)
TmGa2Ni2Ir: theoretical powder diffraction line list (Cu Kα, 1.54184 Å), based on a structure optimized by DFT (GGA-PBE).
Neutral-atom scattering factors, no anomalous dispersion.

Structural model:
abc: 4.6707 4.6707 5.2262
angles: 90.00 90.00 90.00
Element x y z (fractional)
Tm 0.0000 0.0000 0.0000
Ga 0.0000 0.5000 0.5000
Ga 0.5000 0.0000 0.5000
Ni 0.5000 0.5000 0.2420
Ni 0.5000 0.5000 0.7580
Ir 0.0000 0.0000 0.5000

Principal peaks in the range 15 to 90 degrees two-theta, low angle first:
2θ 16.97, 5.226 Å, intensity 23; 2θ 19.00, 4.671 Å, intensity 66; 2θ 27.00, 3.303 Å, intensity 67; 2θ 34.32, 2.613 Å, intensity 22; 2θ 38.55, 2.335 Å, intensity 91; 2θ 39.52, 2.280 Å, intensity 100; 2θ 52.55, 1.741 Å, intensity 28; 2θ 55.66, 1.651 Å, intensity 31; 2θ 56.39, 1.632 Å, intensity 70; 2θ 83.25, 1.161 Å, intensity 23


(11)
Y2Ga3Ni12Ir: theoretical powder diffraction line list (Cu Kα, 1.54184 Å), based on a structure optimized by DFT (GGA-PBE).
Neutral-atom scattering factors, no anomalous dispersion.

Structural model:
abc: 9.3592 9.3592 9.3592
angles: 37.34 37.34 37.34
Element x y z (fractional)
Y 0.1483 0.1483 0.1483
Y 0.8517 0.8517 0.8517
Ga 0.0000 0.5000 0.5000
Ga 0.5000 0.0000 0.5000
Ga 0.5000 0.5000 0.0000
Ni 0.0829 0.0829 0.6904
Ni 0.0829 0.6904 0.0829
Ni 0.1305 0.5799 0.5799
Ni 0.3096 0.9171 0.9171
Ni 0.4201 0.4201 0.8695
Ni 0.4201 0.8695 0.4201
Ni 0.5799 0.1305 0.5799
Ni 0.5799 0.5799 0.1305
Ni 0.6904 0.0829 0.0829
Ni 0.8695 0.4201 0.4201
Ni 0.9171 0.3096 0.9171
Ni 0.9171 0.9171 0.3096
Ir 0.5000 0.5000 0.5000

Principal peaks in the range 15 to 90 degrees two-theta, low angle first:
2θ 18.40, 4.822 Å, intensity 27; 2θ 31.58, 2.833 Å, intensity 100; 2θ 35.27, 2.545 Å, intensity 51; 2θ 36.42, 2.467 Å, intensity 47; 2θ 41.88, 2.157 Å, intensity 47; 2θ 43.44, 2.083 Å, intensity 28; 2θ 44.63, 2.031 Å, intensity 65; 2θ 49.55, 1.840 Å, intensity 34; 2θ 54.05, 1.697 Å, intensity 28; 2θ 61.94, 1.498 Å, intensity 42


(12)
YGa4Ni2Ir: theoretical powder diffraction line list (Cu Kα, 1.54184 Å), based on a structure optimized by DFT (GGA-PBE).
Neutral-atom scattering factors, no anomalous dispersion.

Structural model:
abc: 9.1244 9.1244 9.1244
angles: 26.11 26.11 26.11
Element x y z (fractional)
Y 0.0000 0.0000 0.0000
Ga 0.1282 0.1282 0.1282
Ga 0.4006 0.4006 0.4006
Ga 0.5994 0.5994 0.5994
Ga 0.8718 0.8718 0.8718
Ni 0.2310 0.2310 0.2310
Ni 0.7690 0.7690 0.7690
Ir 0.5000 0.5000 0.5000

Principal peaks in the range 15 to 90 degrees two-theta, low angle first:
2θ 25.85, 3.447 Å, intensity 31; 2θ 37.08, 2.425 Å, intensity 96; 2θ 42.56, 2.124 Å, intensity 27; 2θ 43.92, 2.061 Å, intensity 100; 2θ 45.17, 2.007 Å, intensity 17; 2θ 45.51, 1.993 Å, intensity 40; 2θ 58.79, 1.571 Å, intensity 24; 2θ 76.21, 1.249 Å, intensity 22; 2θ 80.74, 1.190 Å, intensity 16; 2θ 81.87, 1.177 Å, intensity 14


(13)
ZrGaNiIr: theoretical powder diffraction line list (Cu Kα, 1.54184 Å), based on a structure optimized by DFT (GGA-PBE).
Neutral-atom scattering factors, no anomalous dispersion.

Structural model:
abc: 6.2868 6.2868 6.2868
angles: 90.00 90.00 90.00
Element x y z (fractional)
Zr 0.0000 0.0000 0.0000
Zr 0.0000 0.5000 0.5000
Zr 0.5000 0.0000 0.5000
Zr 0.5000 0.5000 0.0000
Ga 0.0000 0.0000 0.5000
Ga 0.0000 0.5000 0.0000
Ga 0.5000 0.0000 0.0000
Ga 0.5000 0.5000 0.5000
Ni 0.2500 0.2500 0.2500
Ni 0.2500 0.7500 0.7500
Ni 0.7500 0.2500 0.7500
Ni 0.7500 0.7500 0.2500
Ir 0.2500 0.2500 0.7500
Ir 0.2500 0.7500 0.2500
Ir 0.7500 0.2500 0.2500
Ir 0.7500 0.7500 0.7500

Principal peaks in the range 15 to 90 degrees two-theta, low angle first:
2θ 24.53, 3.630 Å, intensity 22; 2θ 28.39, 3.143 Å, intensity 5; 2θ 40.59, 2.223 Å, intensity 100; 2θ 48.00, 1.896 Å, intensity 11; 2θ 58.75, 1.572 Å, intensity 17; 2θ 64.62, 1.442 Å, intensity 5; 2θ 66.51, 1.406 Å, intensity 2; 2θ 73.85, 1.283 Å, intensity 33; 2θ 79.16, 1.210 Å, intensity 4; 2θ 87.84, 1.111 Å, intensity 11